Entry 1:
Starting from a DFT-relaxed cell (GGA-PBE, OQMD), the X-ray powder pattern of Li4FeCuSn2 was calculated for CuKα.
Kinematic intensities with the Lorentz-polarization factor, no thermal factor.

Top 12 peaks for 15 to 90 degrees two-theta, most intense first:
24.74 deg, I 100.0; 40.80 deg, I 60.9; 48.68 deg, I 32.7; 41.23 deg, I 29.6; 74.87 deg, I 20.3; 47.92 deg, I 17.1; 65.03 deg, I 13.8; 73.99 deg, I 10.4; 59.73 deg, I 9.9; 80.54 deg, I 7.9; 88.41 deg, I 6.8; 65.65 deg, I 6.8

Structure:
Unit cell a=4.379 b=4.379 c=6.319 alpha=90.00 beta=90.00 gamma=90.00
Fractional positions:
Li 0.000 0.000 0.000
Li 0.000 0.500 0.245
Li 0.500 0.000 0.755
Li 0.500 0.500 0.500
Fe 0.000 0.000 0.500
Cu 0.500 0.500 0.000
Sn 0.000 0.500 0.746
Sn 0.500 0.000 0.254

=====

Entry 2:
Starting from a DFT-relaxed cell (GGA-PBE, OQMD), the X-ray powder pattern of LiZnFeCu was calculated for CuKα.
Kinematic intensities with the Lorentz-polarization factor, no thermal factor.

Top 10 peaks for 15 to 90 degrees two-theta, most intense first:
43.93 deg, I 100.0; 80.76 deg, I 29.2; 30.67 deg, I 19.1; 26.48 deg, I 19.1; 63.88 deg, I 15.1; 52.03 deg, I 7.9; 72.52 deg, I 5.9; 54.53 deg, I 4.9; 70.40 deg, I 2.9; 86.82 deg, I 2.2

Structure:
Unit cell a=5.829 b=5.829 c=5.829 alpha=90.00 beta=90.00 gamma=90.00
Fractional positions:
Li 0.000 0.000 0.000
Li 0.000 0.500 0.500
Li 0.500 0.000 0.500
Li 0.500 0.500 0.000
Zn 0.250 0.250 0.250
Zn 0.250 0.750 0.750
Zn 0.750 0.250 0.750
Zn 0.750 0.750 0.250
Fe 0.000 0.000 0.500
Fe 0.000 0.500 0.000
Fe 0.500 0.000 0.000
Fe 0.500 0.500 0.500
Cu 0.250 0.250 0.750
Cu 0.250 0.750 0.250
Cu 0.750 0.250 0.250
Cu 0.750 0.750 0.750